Starting from DFT lattice parameters and positions (GGA-PBE), the X-ray powder pattern of Ac2NdSbO6 was simulated for Cu Kα, 1.54184 Å.

Crystal structure
```
data_Ac2NdSbO6
_cell_length_a 6.189
_cell_length_b 6.189
_cell_length_c 6.186
_cell_angle_alpha 119.27
_cell_angle_beta 119.27
_cell_angle_gamma 59.26
_symmetry_space_group_name_H-M 'P 1'
_symmetry_Int_Tables_number 1
loop_
_symmetry_equiv_pos_as_xyz
'x,y,z'
loop_
_atom_site_label
_atom_site_fract_x
_atom_site_fract_y
_atom_site_fract_z
Ac1 0.249 0.249 0.220
Ac2 0.751 0.751 0.780
Nd1 0.000 0.000 0.500
Sb1 0.500 0.500 0.000
O1 0.170 0.665 0.165
O2 0.253 0.253 0.617
O3 0.335 0.830 0.835
O4 0.665 0.170 0.165
O5 0.747 0.747 0.383
O6 0.830 0.335 0.835
```

Main lines, most intense first (2θ = 10–80°):
28.86°, rel. 1000
28.55°, rel. 731
29.19°, rel. 342
50.76°, rel. 340
41.52°, rel. 322
51.35°, rel. 293
40.56°, rel. 158
51.55°, rel. 149
59.80°, rel. 127
59.09°, rel. 88

Starting from DFT lattice parameters and positions (GGA-PBE), the X-ray powder pattern of TbNdW2C3 was simulated for Cu Kα, 1.54184 Å.

Crystal structure
```
data_TbNdW2C3
_cell_length_a 12.100
_cell_length_b 3.370
_cell_length_c 5.831
_cell_angle_alpha 90.00
_cell_angle_beta 114.11
_cell_angle_gamma 90.00
_symmetry_space_group_name_H-M 'P 1'
_symmetry_Int_Tables_number 1
loop_
_symmetry_equiv_pos_as_xyz
'x,y,z'
loop_
_atom_site_label
_atom_site_fract_x
_atom_site_fract_y
_atom_site_fract_z
Tb1 0.000 0.000 0.000
Tb2 0.500 0.500 0.000
Nd1 0.217 0.000 0.631
Nd2 0.717 0.500 0.631
W1 0.269 0.500 0.146
W2 0.454 0.000 0.498
W3 0.769 0.000 0.146
W4 0.954 0.500 0.498
C1 0.109 0.500 0.829
C2 0.361 0.000 0.092
C3 0.364 0.500 0.551
C4 0.609 0.000 0.829
C5 0.861 0.500 0.092
C6 0.864 0.000 0.551
```

Main lines, most intense first (2θ = 10–80°):
34.19°, rel. 1000
35.39°, rel. 775
32.43°, rel. 394
36.08°, rel. 350
30.77°, rel. 307
33.68°, rel. 274
54.64°, rel. 258
30.66°, rel. 236
29.75°, rel. 232
43.36°, rel. 226

Starting from DFT lattice parameters and positions (GGA-PBE), the X-ray powder pattern of Zr2CoAs2Ir was simulated for Cu Kα, 1.54184 Å.

Crystal structure
```
data_Zr2CoAs2Ir
_cell_length_a 7.376
_cell_length_b 4.243
_cell_length_c 14.095
_cell_angle_alpha 90.00
_cell_angle_beta 99.76
_cell_angle_gamma 90.00
_symmetry_space_group_name_H-M 'P 1'
_symmetry_Int_Tables_number 1
loop_
_symmetry_equiv_pos_as_xyz
'x,y,z'
loop_
_atom_site_label
_atom_site_fract_x
_atom_site_fract_y
_atom_site_fract_z
Zr1 0.000 0.000 0.000
Zr2 0.007 0.500 0.492
Zr3 0.235 0.000 0.736
Zr4 0.246 0.500 0.241
Zr5 0.482 0.000 0.483
Zr6 0.499 0.500 0.000
Zr7 0.743 0.000 0.236
Zr8 0.756 0.500 0.738
Co1 0.060 0.500 0.676
Co2 0.061 0.000 0.182
Co3 0.306 0.500 0.424
Co4 0.558 0.500 0.181
As1 0.121 0.500 0.861
As2 0.125 0.000 0.362
As3 0.363 0.500 0.611
As4 0.372 0.000 0.123
As5 0.612 0.500 0.361
As6 0.621 0.000 0.865
As7 0.875 0.500 0.123
As8 0.877 0.000 0.615
Ir1 0.309 0.000 0.929
Ir2 0.557 0.000 0.675
Ir3 0.808 0.000 0.426
Ir4 0.810 0.500 0.931
```

Main lines, most intense first (2θ = 10–80°):
42.49°, rel. 1000
25.66°, rel. 715
42.60°, rel. 499
77.91°, rel. 320
50.40°, rel. 225
61.83°, rel. 161
77.66°, rel. 158
50.19°, rel. 114
67.90°, rel. 90
61.47°, rel. 80

Starting from DFT lattice parameters and positions (GGA-PBE), the X-ray powder pattern of Ge8Pd21 was simulated for Cu Kα, 1.54184 Å.

Crystal structure
```
data_Ge8Pd21
_cell_length_a 10.676
_cell_length_b 10.676
_cell_length_c 10.676
_cell_angle_alpha 103.10
_cell_angle_beta 103.10
_cell_angle_gamma 123.14
_symmetry_space_group_name_H-M 'P 1'
_symmetry_Int_Tables_number 1
loop_
_symmetry_equiv_pos_as_xyz
'x,y,z'
loop_
_atom_site_label
_atom_site_fract_x
_atom_site_fract_y
_atom_site_fract_z
Ge1 0.066 0.097 0.722
Ge2 0.125 0.655 0.222
Ge3 0.155 0.434 0.531
Ge4 0.223 0.274 0.144
Ge5 0.226 0.870 0.949
Ge6 0.370 0.920 0.644
Ge7 0.403 0.625 0.969
Ge8 0.420 0.277 0.551
Ge9 0.580 0.723 0.449
Ge10 0.597 0.375 0.031
Ge11 0.630 0.080 0.356
Ge12 0.774 0.130 0.051
Ge13 0.777 0.726 0.856
Ge14 0.845 0.566 0.469
Ge15 0.875 0.345 0.778
Ge16 0.934 0.903 0.278
Pd1 0.010 0.237 0.940
Pd2 0.063 0.389 0.232
Pd3 0.070 0.983 0.906
Pd4 0.106 0.623 0.456
Pd5 0.111 0.843 0.674
Pd6 0.123 0.166 0.517
Pd7 0.125 0.375 0.750
Pd8 0.150 0.606 0.983
Pd9 0.203 0.930 0.440
Pd10 0.218 0.111 0.285
Pd11 0.263 0.703 0.773
Pd12 0.326 0.933 0.215
Pd13 0.331 0.563 0.174
Pd14 0.334 0.350 0.956
Pd15 0.336 0.430 0.412
Pd16 0.343 0.169 0.732
Pd17 0.389 0.174 0.107
Pd18 0.423 0.836 0.406
Pd19 0.430 0.490 0.727
Pd20 0.433 0.718 0.607
Pd21 0.483 0.077 0.912
Pd22 0.517 0.923 0.088
Pd23 0.567 0.282 0.393
Pd24 0.570 0.510 0.273
Pd25 0.577 0.164 0.594
Pd26 0.611 0.826 0.893
Pd27 0.657 0.831 0.268
Pd28 0.664 0.570 0.588
Pd29 0.666 0.650 0.044
Pd30 0.669 0.437 0.826
Pd31 0.674 0.067 0.785
Pd32 0.737 0.297 0.227
Pd33 0.782 0.889 0.715
Pd34 0.797 0.070 0.560
Pd35 0.850 0.394 0.017
Pd36 0.875 0.625 0.250
Pd37 0.877 0.834 0.483
Pd38 0.889 0.157 0.326
Pd39 0.894 0.377 0.544
Pd40 0.930 0.017 0.094
Pd41 0.937 0.611 0.768
Pd42 0.990 0.763 0.060
```

Main lines, most intense first (2θ = 10–80°):
38.86°, rel. 1000
44.60°, rel. 880
43.29°, rel. 874
36.02°, rel. 786
34.94°, rel. 761
38.57°, rel. 577
40.78°, rel. 431
47.25°, rel. 339
42.39°, rel. 266
46.00°, rel. 265

Starting from DFT lattice parameters and positions (GGA-PBE), the X-ray powder pattern of Hf4MgInN2 was simulated for Cu Kα, 1.54184 Å.

Crystal structure
```
data_Hf4MgInN2
_cell_length_a 3.239
_cell_length_b 3.239
_cell_length_c 14.979
_cell_angle_alpha 90.00
_cell_angle_beta 90.00
_cell_angle_gamma 120.00
_symmetry_space_group_name_H-M 'P 1'
_symmetry_Int_Tables_number 1
loop_
_symmetry_equiv_pos_as_xyz
'x,y,z'
loop_
_atom_site_label
_atom_site_fract_x
_atom_site_fract_y
_atom_site_fract_z
Hf1 0.000 0.000 0.164
Hf2 0.000 0.000 0.836
Hf3 0.667 0.333 0.329
Hf4 0.667 0.333 0.671
Mg1 0.000 0.000 0.500
In1 0.667 0.333 0.000
N1 0.333 0.667 0.247
N2 0.333 0.667 0.753
```

Main lines, most intense first (2θ = 10–80°):
36.75°, rel. 1000
11.82°, rel. 274
31.90°, rel. 220
35.97°, rel. 218
56.85°, rel. 199
69.14°, rel. 198
65.18°, rel. 183
48.84°, rel. 168
69.63°, rel. 155
32.47°, rel. 88

Starting from DFT lattice parameters and positions (GGA-PBE), the X-ray powder pattern of NdDyOs was simulated for Cu Kα, 1.54184 Å.

Crystal structure
```
data_NdDyOs
_cell_length_a 7.663
_cell_length_b 7.663
_cell_length_c 4.398
_cell_angle_alpha 90.00
_cell_angle_beta 90.00
_cell_angle_gamma 120.00
_symmetry_space_group_name_H-M 'P 1'
_symmetry_Int_Tables_number 1
loop_
_symmetry_equiv_pos_as_xyz
'x,y,z'
loop_
_atom_site_label
_atom_site_fract_x
_atom_site_fract_y
_atom_site_fract_z
Nd1 0.000 0.588 0.000
Nd2 0.412 0.412 0.000
Nd3 0.588 0.000 0.000
Dy1 0.000 0.255 0.500
Dy2 0.255 0.000 0.500
Dy3 0.745 0.745 0.500
Os1 0.000 0.000 0.000
Os2 0.333 0.667 0.500
Os3 0.667 0.333 0.500
```

Main lines, most intense first (2θ = 10–80°):
33.84°, rel. 1000
30.95°, rel. 802
41.44°, rel. 424
40.79°, rel. 390
35.80°, rel. 389
64.80°, rel. 334
41.04°, rel. 328
59.25°, rel. 263
55.58°, rel. 220
70.18°, rel. 122

Starting from DFT lattice parameters and positions (GGA-PBE), the X-ray powder pattern of BaTb2O4 was simulated for Cu Kα, 1.54184 Å.

Crystal structure
```
data_BaTb2O4
_cell_length_a 7.075
_cell_length_b 7.075
_cell_length_c 7.075
_cell_angle_alpha 60.00
_cell_angle_beta 60.00
_cell_angle_gamma 60.00
_symmetry_space_group_name_H-M 'P 1'
_symmetry_Int_Tables_number 1
loop_
_symmetry_equiv_pos_as_xyz
'x,y,z'
loop_
_atom_site_label
_atom_site_fract_x
_atom_site_fract_y
_atom_site_fract_z
Ba1 0.125 0.125 0.125
Ba2 0.875 0.875 0.875
Tb1 0.000 0.500 0.500
Tb2 0.500 0.000 0.500
Tb3 0.500 0.500 0.000
Tb4 0.500 0.500 0.500
O1 0.270 0.270 0.270
O2 0.270 0.270 0.689
O3 0.270 0.689 0.270
O4 0.311 0.730 0.730
O5 0.689 0.270 0.270
O6 0.730 0.311 0.730
O7 0.730 0.730 0.311
O8 0.730 0.730 0.730
```

Main lines, most intense first (2θ = 10–80°):
29.61°, rel. 1000
51.68°, rel. 421
47.20°, rel. 418
30.96°, rel. 313
25.17°, rel. 233
72.57°, rel. 224
61.47°, rel. 164
15.34°, rel. 162
35.90°, rel. 145
60.69°, rel. 137

Starting from DFT lattice parameters and positions (GGA-PBE), the X-ray powder pattern of SmHo2Sn4Au4 was simulated for Cu Kα, 1.54184 Å.

Crystal structure
```
data_SmHo2Sn4Au4
_cell_length_a 8.870
_cell_length_b 8.870
_cell_length_c 8.870
_cell_angle_alpha 150.34
_cell_angle_beta 131.33
_cell_angle_gamma 58.04
_symmetry_space_group_name_H-M 'P 1'
_symmetry_Int_Tables_number 1
loop_
_symmetry_equiv_pos_as_xyz
'x,y,z'
loop_
_atom_site_label
_atom_site_fract_x
_atom_site_fract_y
_atom_site_fract_z
Sm1 0.000 0.000 0.000
Ho1 0.371 0.871 0.500
Ho2 0.629 0.129 0.500
Sn1 0.216 0.216 0.000
Sn2 0.306 0.500 0.806
Sn3 0.694 0.500 0.194
Sn4 0.784 0.784 0.000
Au1 0.035 0.332 0.703
Au2 0.371 0.668 0.703
Au3 0.629 0.332 0.297
Au4 0.965 0.668 0.297
```

Main lines, most intense first (2θ = 10–80°):
31.95°, rel. 1000
32.74°, rel. 729
39.69°, rel. 491
36.01°, rel. 424
40.94°, rel. 336
34.69°, rel. 308
43.12°, rel. 246
58.34°, rel. 240
31.32°, rel. 218
11.41°, rel. 180

Starting from DFT lattice parameters and positions (GGA-PBE), the X-ray powder pattern of CdIn2Se2S2 was simulated for Cu Kα, 1.54184 Å.

Crystal structure
```
data_CdIn2Se2S2
_cell_length_a 8.233
_cell_length_b 11.344
_cell_length_c 5.853
_cell_angle_alpha 90.00
_cell_angle_beta 133.87
_cell_angle_gamma 90.00
_symmetry_space_group_name_H-M 'P 1'
_symmetry_Int_Tables_number 1
loop_
_symmetry_equiv_pos_as_xyz
'x,y,z'
loop_
_atom_site_label
_atom_site_fract_x
_atom_site_fract_y
_atom_site_fract_z
Cd1 0.000 0.000 0.000
Cd2 0.500 0.500 0.000
In1 0.000 0.499 0.000
In2 0.000 0.743 0.500
In3 0.500 0.243 0.500
In4 0.500 0.999 0.000
Se1 0.220 0.358 0.494
Se2 0.280 0.858 0.506
Se3 0.720 0.858 0.494
Se4 0.780 0.358 0.506
S1 0.249 0.131 0.985
S2 0.251 0.631 0.015
S3 0.749 0.631 0.985
S4 0.751 0.131 0.015
```

Main lines, most intense first (2θ = 10–80°):
26.33°, rel. 1000
26.76°, rel. 794
44.17°, rel. 391
44.49°, rel. 387
42.87°, rel. 230
44.00°, rel. 188
21.59°, rel. 166
53.32°, rel. 147
16.86°, rel. 140
17.05°, rel. 138

Starting from DFT lattice parameters and positions (GGA-PBE), the X-ray powder pattern of CsLuNb6Cl18 was simulated for Cu Kα, 1.54184 Å.

Crystal structure
```
data_CsLuNb6Cl18
_cell_length_a 9.265
_cell_length_b 9.265
_cell_length_c 17.316
_cell_angle_alpha 90.00
_cell_angle_beta 90.00
_cell_angle_gamma 120.00
_symmetry_space_group_name_H-M 'P 1'
_symmetry_Int_Tables_number 1
loop_
_symmetry_equiv_pos_as_xyz
'x,y,z'
loop_
_atom_site_label
_atom_site_fract_x
_atom_site_fract_y
_atom_site_fract_z
Cs1 0.333 0.667 0.250
Cs2 0.667 0.333 0.750
Lu1 0.333 0.667 0.750
Lu2 0.667 0.333 0.250
Nb1 0.041 0.199 0.569
Nb2 0.041 0.842 0.931
Nb3 0.158 0.199 0.931
Nb4 0.158 0.959 0.569
Nb5 0.199 0.041 0.069
Nb6 0.199 0.158 0.431
Nb7 0.801 0.842 0.569
Nb8 0.801 0.959 0.931
Nb9 0.842 0.041 0.431
Nb10 0.842 0.801 0.069
Nb11 0.959 0.158 0.069
Nb12 0.959 0.801 0.431
Cl1 0.048 0.237 0.338
Cl2 0.048 0.811 0.162
Cl3 0.089 0.454 0.663
Cl4 0.089 0.636 0.837
Cl5 0.142 0.422 0.001
Cl6 0.142 0.720 0.499
Cl7 0.189 0.237 0.162
Cl8 0.189 0.952 0.338
Cl9 0.237 0.048 0.838
Cl10 0.237 0.189 0.662
Cl11 0.280 0.422 0.499
Cl12 0.280 0.858 0.001
Cl13 0.364 0.454 0.837
Cl14 0.364 0.911 0.663
Cl15 0.422 0.142 0.501
Cl16 0.422 0.280 0.999
Cl17 0.454 0.089 0.163
Cl18 0.454 0.364 0.337
Cl19 0.546 0.636 0.663
Cl20 0.546 0.911 0.837
Cl21 0.578 0.720 0.001
Cl22 0.578 0.858 0.499
Cl23 0.636 0.089 0.337
Cl24 0.636 0.546 0.163
Cl25 0.720 0.142 0.999
Cl26 0.720 0.578 0.501
Cl27 0.763 0.811 0.338
Cl28 0.763 0.952 0.162
Cl29 0.811 0.048 0.662
Cl30 0.811 0.763 0.838
Cl31 0.858 0.280 0.501
Cl32 0.858 0.578 0.999
Cl33 0.911 0.364 0.163
Cl34 0.911 0.546 0.337
Cl35 0.952 0.189 0.838
Cl36 0.952 0.763 0.662
```

Main lines, most intense first (2θ = 10–80°):
15.05°, rel. 1000
36.16°, rel. 503
11.03°, rel. 464
21.76°, rel. 415
43.29°, rel. 395
23.35°, rel. 250
35.12°, rel. 245
28.21°, rel. 244
29.45°, rel. 240
36.69°, rel. 226

Starting from DFT lattice parameters and positions (GGA-PBE), the X-ray powder pattern of Dy2Lu2O5 was simulated for Cu Kα, 1.54184 Å.

Crystal structure
```
data_Dy2Lu2O5
_cell_length_a 3.871
_cell_length_b 3.871
_cell_length_c 9.283
_cell_angle_alpha 90.00
_cell_angle_beta 90.00
_cell_angle_gamma 90.00
_symmetry_space_group_name_H-M 'P 1'
_symmetry_Int_Tables_number 1
loop_
_symmetry_equiv_pos_as_xyz
'x,y,z'
loop_
_atom_site_label
_atom_site_fract_x
_atom_site_fract_y
_atom_site_fract_z
Dy1 0.000 0.000 0.242
Dy2 0.000 0.000 0.758
Lu1 0.500 0.500 0.000
Lu2 0.500 0.500 0.500
O1 0.000 0.000 0.500
O2 0.000 0.500 0.141
O3 0.000 0.500 0.859
O4 0.500 0.000 0.141
O5 0.500 0.000 0.859
```

Main lines, most intense first (2θ = 10–80°):
30.06°, rel. 1000
32.72°, rel. 362
56.76°, rel. 342
51.63°, rel. 281
46.94°, rel. 194
62.48°, rel. 118
38.80°, rel. 115
64.90°, rel. 109
76.65°, rel. 71
78.07°, rel. 64